1.
This entry pairs a crystal structure of TiCrC2Cl with its computed PXRD pattern. Radiation: Cu Ka. Structure: a cell relaxed with GGA-PBE.

Main lines, in order of rising 2θ (2θ = 5–70°):
two_theta  d (Å)  I/Imax
20.85  4.261  18.3
22.50  3.952  18.3
30.86  2.898  30.2
32.03  2.795  100.0
38.53  2.337  65.9
42.43  2.130  39.6
45.92  1.976  60.9
54.13  1.694  40.8
64.30  1.449  38.7
66.97  1.397  16.9

Structural model:
```
data_TiCrC2Cl
_symmetry_space_group_name_H-M 'P 4/m m m'
_symmetry_Int_Tables_number 123
_symmetry_space_group_name_Hall '-P 4 2'
_cell_length_a 3.952
_cell_length_b 3.952
_cell_length_c 4.261
_cell_angle_alpha 90.00
_cell_angle_beta 90.00
_cell_angle_gamma 90.00
loop_
_atom_site_label
_atom_site_fract_x
_atom_site_fract_y
_atom_site_fract_z
Ti1 0.000 0.000 0.000
Cr1 0.500 0.500 0.000
C1 0.000 0.500 0.500
Cl1 0.000 0.000 0.500
```

2.
This entry pairs a crystal structure of CsC2Cl with its computed PXRD pattern. Radiation: Cu Ka. Structure: a cell relaxed with GGA-PBE.

Main lines, in order of rising 2θ (2θ = 5–70°):
two_theta  d (Å)  I/Imax
20.07  4.423  51.3
20.66  4.300  25.2
25.13  3.544  34.8
30.25  2.955  100.0
32.37  2.766  18.0
40.74  2.215  34.8
42.07  2.148  39.5
45.79  1.982  30.2
58.98  1.566  19.6
67.67  1.385  18.5

Structural model:
```
data_CsC2Cl
_symmetry_space_group_name_H-M 'I 41/a m d'
_symmetry_Int_Tables_number 141
_cell_length_a 4.433
_cell_length_b 4.433
_cell_length_c 17.693
_cell_angle_alpha 90.00
_cell_angle_beta 90.00
_cell_angle_gamma 90.00
loop_
_symmetry_equiv_pos_as_xyz
'x,y,z'
'-x,-y,-z'
'-y+1/4,x+3/4,z+1/4'
'y+1/4,-x+3/4,-z+1/4'
'-x+1/2,-y,z+1/2'
'x+1/2,y,-z+1/2'
'y+1/4,-x+1/4,z+3/4'
'-y+1/4,x+1/4,-z+3/4'
'x,-y,-z'
'-x,y,z'
'-y+1/4,-x+1/4,-z+3/4'
'y+1/4,x+1/4,z+3/4'
'-x+1/2,y,-z+1/2'
'x+1/2,-y,z+1/2'
'y+1/4,x+3/4,-z+1/4'
'-y+1/4,-x+3/4,z+1/4'
'x+1/2,y+1/2,z+1/2'
'-x+1/2,-y+1/2,-z+1/2'
'-y+3/4,x+1/4,z+3/4'
'y+3/4,-x+1/4,-z+3/4'
'-x,-y+1/2,z'
'x,y+1/2,-z'
'y+3/4,-x+3/4,z+1/4'
'-y+3/4,x+3/4,-z+1/4'
'x+1/2,-y+1/2,-z+1/2'
'-x+1/2,y+1/2,z+1/2'
'-y+3/4,-x+3/4,-z+1/4'
'y+3/4,x+3/4,z+1/4'
'-x,y+1/2,-z'
'x,-y+1/2,z'
'y+3/4,x+1/4,-z+3/4'
'-y+3/4,-x+1/4,z+3/4'
loop_
_atom_site_label
_atom_site_fract_x
_atom_site_fract_y
_atom_site_fract_z
Cs1 0.000 0.250 0.375
C1 0.000 0.000 0.000
Cl1 0.000 0.250 0.875
```

3.
This entry pairs a crystal structure of Cs2GeCCl6 with its computed PXRD pattern. Radiation: Cu Ka. Structure: a cell relaxed with GGA-PBE.

Main lines, in order of rising 2θ (2θ = 5–70°):
two_theta  d (Å)  I/Imax
17.49  5.069  13.0
24.84  3.584  100.0
30.54  2.927  79.7
35.41  2.535  81.5
43.74  2.069  43.6
50.95  1.792  53.1
57.49  1.603  20.7
60.58  1.528  28.8
63.58  1.463  17.5
69.36  1.355  23.4

Structural model:
```
data_Cs2GeCCl6
_symmetry_space_group_name_H-M 'I 4/m m m'
_symmetry_Int_Tables_number 139
_symmetry_space_group_name_Hall '-I 4 2'
_cell_length_a 7.171
_cell_length_b 7.171
_cell_length_c 10.133
_cell_angle_alpha 90.00
_cell_angle_beta 90.00
_cell_angle_gamma 90.00
loop_
_atom_site_label
_atom_site_fract_x
_atom_site_fract_y
_atom_site_fract_z
Cs1 0.000 0.500 0.250
Ge1 0.000 0.000 0.000
C1 0.000 0.000 0.500
Cl1 0.000 0.000 0.261
Cl2 0.239 0.239 0.500
```

4.
This entry pairs a crystal structure of Cs2Lu7CCl18 with its computed PXRD pattern. Radiation: Cu Ka. Structure: a cell relaxed with GGA-PBE.

Main lines, in order of rising 2θ (2θ = 5–70°):
two_theta  d (Å)  I/Imax
10.67  8.291  64.3
12.06  7.338  99.6
20.19  4.398  63.7
24.26  3.669  42.4
25.02  3.559  48.4
31.76  2.817  100.0
32.40  2.764  33.1
37.99  2.368  61.0
43.07  2.100  32.4
47.91  1.899  53.0

Structural model:
```
data_Cs2Lu7CCl18
_symmetry_space_group_name_H-M 'R -3'
_symmetry_Int_Tables_number 148
_symmetry_space_group_name_Hall '-R 3'
_cell_length_a 10.0481
_cell_length_b 10.0481
_cell_length_c 27.3023
_cell_angle_alpha 90.00
_cell_angle_beta 90.00
_cell_angle_gamma 120.00
loop_
_atom_site_label
_atom_site_fract_x
_atom_site_fract_y
_atom_site_fract_z
Cs1 0.0000 0.0000 0.2239
Lu1 0.0000 0.0000 0.5000
Lu2 0.0598 0.2272 0.0517
C1 0.0000 0.0000 0.0000
Cl1 0.0184 0.2214 0.4450
Cl2 0.0440 0.2532 0.6692
Cl3 0.0601 0.2327 0.8898
```

5.
This entry pairs a crystal structure of CsSbC6Cl5 with its computed PXRD pattern. Radiation: Cu Ka. Structure: a cell relaxed with GGA-PBE.

Main lines, in order of rising 2θ (2θ = 5–70°):
two_theta  d (Å)  I/Imax
6.95  12.717  100.0
13.12  6.750  33.0
13.25  6.683  32.7
17.32  5.119  14.8
21.16  4.199  24.4
26.39  3.377  36.9
32.01  2.796  29.1
32.79  2.731  18.6
35.29  2.543  12.0
48.38  1.881  16.6

Structural model:
```
data_CsSbC6Cl5
_symmetry_space_group_name_H-M 'P m n 21'
_symmetry_Int_Tables_number 31
_cell_length_a 7.855
_cell_length_b 12.717
_cell_length_c 7.964
_cell_angle_alpha 90.00
_cell_angle_beta 90.00
_cell_angle_gamma 90.00
loop_
_symmetry_equiv_pos_as_xyz
'x,y,z'
'-x+1/2,-y,z+1/2'
'-x,y,z'
'x+1/2,-y,z+1/2'
loop_
_atom_site_label
_atom_site_fract_x
_atom_site_fract_y
_atom_site_fract_z
Cs1 0.000 0.003 0.000
Sb1 0.000 0.197 0.500
C1 0.000 0.367 0.502
C2 0.000 0.563 0.505
C3 0.134 0.437 0.503
C4 0.166 0.540 0.505
Cl1 0.000 0.003 0.500
Cl2 0.220 0.191 0.716
Cl3 0.220 0.192 0.285
```

6.
This entry pairs a crystal structure of Cs2TaCCl6 with its computed PXRD pattern. Radiation: Cu Ka. Structure: a cell relaxed with GGA-PBE.

Main lines, in order of rising 2θ (2θ = 5–70°):
two_theta  d (Å)  I/Imax
13.99  6.328  90.4
22.88  3.887  100.0
23.09  3.851  48.5
27.10  3.290  21.4
28.20  3.164  30.8
32.26  2.775  29.0
32.89  2.723  55.8
40.05  2.251  20.7
40.44  2.230  41.6
46.74  1.944  36.9

Structural model:
```
data_Cs2TaCCl6
_symmetry_space_group_name_H-M 'I 4/m m m'
_symmetry_Int_Tables_number 139
_symmetry_space_group_name_Hall '-I 4 2'
_cell_length_a 7.703
_cell_length_b 7.703
_cell_length_c 11.100
_cell_angle_alpha 90.00
_cell_angle_beta 90.00
_cell_angle_gamma 90.00
loop_
_atom_site_label
_atom_site_fract_x
_atom_site_fract_y
_atom_site_fract_z
Cs1 0.000 0.500 0.250
Ta1 0.000 0.000 0.000
C1 0.000 0.000 0.500
Cl1 0.000 0.000 0.217
Cl2 0.221 0.221 0.000
```

7.
This entry pairs a crystal structure of Cs2TeCCl6 with its computed PXRD pattern. Radiation: Cu Ka. Structure: a cell relaxed with GGA-PBE.

Main lines, in order of rising 2θ (2θ = 5–70°):
two_theta  d (Å)  I/Imax
14.86  5.960  22.8
24.31  3.661  100.0
24.54  3.628  48.5
29.98  2.980  64.4
34.33  2.612  34.8
34.97  2.565  67.1
43.05  2.101  42.9
49.82  1.830  44.6
50.30  1.814  22.0
62.31  1.490  21.9

Structural model:
```
data_Cs2TeCCl6
_symmetry_space_group_name_H-M 'I 4/m m m'
_symmetry_Int_Tables_number 139
_symmetry_space_group_name_Hall '-I 4 2'
_cell_length_a 7.256
_cell_length_b 7.256
_cell_length_c 10.449
_cell_angle_alpha 90.00
_cell_angle_beta 90.00
_cell_angle_gamma 90.00
loop_
_atom_site_label
_atom_site_fract_x
_atom_site_fract_y
_atom_site_fract_z
Cs1 0.000 0.500 0.250
Te1 0.000 0.000 0.000
C1 0.000 0.000 0.500
Cl1 0.000 0.000 0.271
Cl2 0.236 0.236 0.500
```